Structure and simulated powder X-ray diffraction pattern of CrH2Cl4 (a GGA-PBE-relaxed structure; Cu Kα, 1.54184 Å).
Intensities are scaled so that the largest is 100.

Largest 10 diffraction maxima, low angle first, 2θ from 15° to 90°:
(1 0 -1), 17.52°, intensity 19
(0 0 2), 26.59°, intensity 33
(1 1 -1), 28.17°, intensity 26
(1 1 1), 31.36°, intensity 100
(2 0 -2), 35.47°, intensity 27
(2 1 1), 42.37°, intensity 14
(0 2 0), 44.61°, intensity 18
(1 1 -3), 45.76°, intensity 24
(3 1 -1), 50.30°, intensity 21
(2 2 -2), 58.24°, intensity 19

Atomic structure:
a = 6.097 Å, b = 4.062 Å, c = 6.891 Å
α = 90.00°, β = 103.37°, γ = 90.00°
Sites, in units of the cell vectors:
1 Cr 0.000 0.000 0.000
2 H 0.087 0.500 0.317
3 H 0.913 0.500 0.683
4 Cl 0.206 0.000 0.762
5 Cl 0.240 0.500 0.211
6 Cl 0.760 0.500 0.789
7 Cl 0.794 0.000 0.238